1.
For Tc5Se, DFT lattice parameters and positions (GGA-PBE) gives the computed X-ray powder pattern in this record (a wavelength of 1.5418 Å).
Kinematic intensities with the Lorentz-polarization factor, no thermal factor.

Cell and atoms:
```
Tc5Se
1.0
1.9581 -5.7892 0.0000
1.9581 5.7892 0.0000
0.0000 0.0000 3.9445
Tc Se
5 1
Direct
0.0000 0.0000 0.0000
0.1771 0.8229 0.5000
0.3298 0.6702 0.0000
0.6702 0.3298 0.0000
0.8229 0.1771 0.5000
0.5000 0.5000 0.5000
```

Most intense lines, 2θ from 10° to 80°, sorted by position:
| Position (°2θ) | I (rel.) |
| --- | --- |
| 39.98 | 100 |
| 46.02 | 17 |
| 46.37 | 16 |
| 47.09 | 15 |
| 67.39 | 10 |
| 67.96 | 10 |

2.
For Th8Tc3Te3Se, DFT lattice parameters and positions (GGA-PBE) gives the computed X-ray powder pattern in this record (a wavelength of 1.5418 Å).
Kinematic intensities with the Lorentz-polarization factor, no thermal factor.

Cell and atoms:
```
Th8Tc3Te3Se
1.0
4.2686 2.4645 7.3271
-4.2686 2.4645 7.3271
0.0000 -4.9289 7.3271
Th Tc Te Se
8 3 3 1
Direct
0.2119 0.7488 0.7488
0.2350 0.2350 0.2350
0.2512 0.2512 0.7881
0.2512 0.7881 0.2512
0.7488 0.2119 0.7488
0.7488 0.7488 0.2119
0.7650 0.7650 0.7650
0.7881 0.2512 0.2512
0.0000 0.0000 0.5000
0.0000 0.5000 0.0000
0.5000 0.0000 0.0000
0.0000 0.5000 0.5000
0.5000 0.0000 0.5000
0.5000 0.5000 0.0000
0.5000 0.5000 0.5000
```

Most intense lines, 2θ from 10° to 80°, sorted by position:
| Position (°2θ) | I (rel.) |
| --- | --- |
| 25.42 | 22 |
| 29.11 | 100 |
| 40.92 | 31 |
| 42.35 | 38 |
| 52.21 | 19 |
| 69.40 | 15 |

Please write out number 2 again, unchanged.
For Th8Tc3Te3Se, DFT lattice parameters and positions (GGA-PBE) gives the computed X-ray powder pattern in this record (a wavelength of 1.5418 Å).
Kinematic intensities with the Lorentz-polarization factor, no thermal factor.

Cell and atoms:
```
Th8Tc3Te3Se
1.0
4.2686 2.4645 7.3271
-4.2686 2.4645 7.3271
0.0000 -4.9289 7.3271
Th Tc Te Se
8 3 3 1
Direct
0.2119 0.7488 0.7488
0.2350 0.2350 0.2350
0.2512 0.2512 0.7881
0.2512 0.7881 0.2512
0.7488 0.2119 0.7488
0.7488 0.7488 0.2119
0.7650 0.7650 0.7650
0.7881 0.2512 0.2512
0.0000 0.0000 0.5000
0.0000 0.5000 0.0000
0.5000 0.0000 0.0000
0.0000 0.5000 0.5000
0.5000 0.0000 0.5000
0.5000 0.5000 0.0000
0.5000 0.5000 0.5000
```

Most intense lines, 2θ from 10° to 80°, sorted by position:
| Position (°2θ) | I (rel.) |
| --- | --- |
| 25.42 | 22 |
| 29.11 | 100 |
| 40.92 | 31 |
| 42.35 | 38 |
| 52.21 | 19 |
| 69.40 | 15 |